[1]
Simulated XRD peak list
Compound: SbXeO2F7
Radiation: Cu Kα (weighted mean of Kα1 and Kα2)
Structure: a DFT-relaxed cell (PBE, the Materials Project)
Neutral-atom scattering factors, no anomalous dispersion.

Crystal structure
```
SbXeO2F7
1.0
10.534 0.000 0.000
0.000 5.930 0.000
-0.684 0.000 12.333
Sb Xe O F
4 4 8 28
Direct
0.169 0.209 0.128
0.169 0.291 0.628
0.831 0.709 0.372
0.831 0.791 0.872
0.302 0.684 0.367
0.302 0.816 0.867
0.698 0.184 0.133
0.698 0.316 0.633
0.372 0.099 0.889
0.372 0.401 0.389
0.390 0.616 0.958
0.390 0.884 0.458
0.610 0.116 0.542
0.610 0.384 0.042
0.628 0.599 0.611
0.628 0.901 0.111
0.011 0.678 0.372
0.011 0.822 0.872
0.151 0.119 0.498
0.151 0.381 0.998
0.160 0.019 0.716
0.160 0.481 0.216
0.180 0.031 0.260
0.180 0.469 0.760
0.183 0.568 0.544
0.183 0.932 0.044
0.349 0.237 0.134
0.349 0.263 0.634
0.392 0.744 0.730
0.392 0.756 0.230
0.608 0.244 0.770
0.608 0.256 0.270
0.651 0.737 0.366
0.651 0.763 0.866
0.817 0.068 0.956
0.817 0.432 0.456
0.820 0.531 0.240
0.820 0.969 0.740
0.840 0.519 0.784
0.840 0.981 0.284
0.849 0.619 0.002
0.849 0.881 0.502
0.989 0.178 0.128
0.989 0.322 0.628
```

The 8 most intense peaks (15 to 90 degrees two-theta), low angle first:
| 2theta | I_rel |
| --- | --- |
| 16.9 | 43 |
| 20.8 | 100 |
| 21.6 | 29 |
| 22.6 | 40 |
| 22.8 | 21 |
| 27.4 | 18 |
| 37.4 | 18 |
| 46.8 | 20 |

[2]
Simulated XRD peak list
Compound: SbXe2OF15
Radiation: Cu Kα (weighted mean of Kα1 and Kα2)
Structure: a DFT-relaxed cell (PBE, the Materials Project)
Neutral-atom scattering factors, no anomalous dispersion.

Crystal structure
```
SbXe2OF15
1.0
5.767 0.000 0.000
0.000 9.146 0.000
-2.801 0.000 12.370
Sb Xe O F
2 4 2 30
Direct
0.187 0.250 0.434
0.813 0.750 0.566
0.202 0.750 0.292
0.412 0.250 0.094
0.588 0.750 0.906
0.798 0.250 0.708
0.392 0.250 0.949
0.608 0.750 0.051
0.045 0.099 0.752
0.045 0.401 0.752
0.071 0.250 0.569
0.130 0.750 0.647
0.160 0.092 0.083
0.160 0.408 0.083
0.188 0.750 0.137
0.201 0.042 0.442
0.201 0.458 0.442
0.315 0.250 0.307
0.334 0.592 0.880
0.334 0.908 0.880
0.443 0.598 0.287
0.443 0.902 0.287
0.485 0.750 0.478
0.515 0.250 0.522
0.557 0.098 0.713
0.557 0.402 0.713
0.666 0.092 0.120
0.666 0.408 0.120
0.685 0.750 0.693
0.799 0.542 0.558
0.799 0.958 0.558
0.812 0.250 0.863
0.840 0.592 0.917
0.840 0.908 0.917
0.870 0.250 0.353
0.929 0.750 0.431
0.955 0.599 0.248
0.955 0.901 0.248
```

The 8 most intense peaks (15 to 90 degrees two-theta), low angle first:
| 2theta | I_rel |
| --- | --- |
| 18.7 | 74 |
| 19.4 | 78 |
| 21.2 | 100 |
| 23.7 | 80 |
| 27.1 | 57 |
| 36.3 | 21 |
| 43.2 | 26 |
| 43.9 | 26 |

[3]
Simulated XRD peak list
Compound: SbXeOF9
Radiation: Cu Kα (weighted mean of Kα1 and Kα2)
Structure: a DFT-relaxed cell (PBE, the Materials Project)
Neutral-atom scattering factors, no anomalous dispersion.

Crystal structure
```
SbXeOF9
1.0
8.890 0.000 0.000
-2.384 9.734 0.000
-0.626 -3.774 9.764
Sb Xe O F
4 4 4 36
Direct
0.055 0.223 0.410
0.424 0.755 0.255
0.576 0.245 0.745
0.945 0.777 0.590
0.045 0.220 0.867
0.423 0.794 0.723
0.577 0.206 0.277
0.955 0.780 0.133
0.211 0.204 0.965
0.401 0.146 0.151
0.599 0.854 0.849
0.789 0.796 0.035
0.022 0.186 0.576
0.029 0.644 0.980
0.063 0.986 0.692
0.065 0.249 0.239
0.114 0.933 0.092
0.152 0.740 0.588
0.157 0.424 0.510
0.165 0.409 0.851
0.201 0.750 0.242
0.241 0.159 0.404
0.284 0.650 0.787
0.324 0.936 0.848
0.357 0.222 0.718
0.371 0.547 0.192
0.413 0.769 0.441
0.422 0.760 0.076
0.467 0.972 0.324
0.483 0.615 0.610
0.517 0.385 0.390
0.533 0.028 0.676
0.578 0.240 0.924
0.587 0.231 0.559
0.629 0.453 0.808
0.643 0.778 0.282
0.676 0.064 0.152
0.716 0.350 0.213
0.759 0.841 0.596
0.799 0.250 0.758
0.835 0.591 0.149
0.843 0.576 0.490
0.848 0.260 0.412
0.886 0.067 0.908
0.935 0.751 0.761
0.937 0.014 0.308
0.971 0.356 0.020
0.978 0.814 0.424
```

The 8 most intense peaks (15 to 90 degrees two-theta), low angle first:
| 2theta | I_rel |
| --- | --- |
| 17.2 | 46 |
| 19.6 | 100 |
| 20.1 | 30 |
| 20.4 | 55 |
| 20.8 | 35 |
| 22.3 | 30 |
| 22.6 | 24 |
| 23.5 | 24 |